For Mn5FeO12, a crystal structure in Alexandria, relaxed with GGA+U gives the simulated powder diffractogram in this record (Cu Kα).

Most intense lines, 15 to 90 degrees two-theta, low angle first:
Position (°2θ)  intensity
17.53  100.0
36.53  22.4
39.80  12.3
39.89  6.0
44.72  24.8
51.04  6.3
58.35  13.8
64.44  12.5

Atomic structure:
```
18
Lattice="2.5277 -4.3966 0.0000 2.5277 4.3966 0.0000 -0.0142 0.0000 10.1160" Properties=species:S:1:pos:R:3 pbc="T T T"
Mn 0.0000 0.0000 0.0000
Mn 2.5206 2.9263 5.0580
Mn 2.5277 1.4655 0.0000
Mn 2.5277 -1.4655 0.0000
Mn 2.5206 -2.9263 5.0580
Fe 2.5206 0.0000 5.0580
O 1.6866 2.9311 0.9605
O 1.6806 1.4706 4.0998
O 0.8562 0.0000 6.0126
O 3.3547 2.9311 9.1555
O 1.6864 0.0000 0.9603
O 3.3606 1.4706 6.0163
O 1.6806 -1.4706 4.0998
O 3.3549 0.0000 9.1557
O 1.6866 -2.9311 0.9605
O 4.1851 0.0000 4.1034
O 3.3606 -1.4706 6.0163
O 3.3547 -2.9311 9.1555
```